# 1
The following is a theoretical powder XRD pattern of Mg6ZnIr2. It was derived from a structure optimized by DFT (GGA-PBE), using Cu Kα (weighted mean of Kα1 and Kα2).

Largest 12 diffraction maxima, low angle first, 10° ≤ 2θ ≤ 80°:
2θ = 14.70°, intensity 20; 2θ = 20.84°, intensity 17; 2θ = 23.33°, intensity 61; 2θ = 25.57°, intensity 55; 2θ = 38.05°, intensity 100; 2θ = 42.36°, intensity 19; 2θ = 43.78°, intensity 26; 2θ = 45.12°, intensity 31; 2θ = 48.92°, intensity 18; 2θ = 52.58°, intensity 18; 2θ = 63.61°, intensity 23; 2θ = 78.53°, intensity 20

Structure:
```
Mg6ZnIr2
1.0
8.5246 0.0000 0.0000
0.0000 8.5246 0.0000
0.0000 0.0000 4.2678
Mg Zn Ir
12 2 4
Cartesian
0.1151 2.6934 0.0000
1.2794 7.2452 2.1339
1.5689 4.3774 2.1339
2.6934 0.1151 0.0000
2.9829 2.9829 0.0000
4.1472 6.9557 2.1339
4.3774 1.5689 2.1339
5.5417 5.5417 0.0000
5.8311 8.4094 0.0000
6.9557 4.1472 2.1339
7.2452 1.2794 2.1339
8.4094 5.8311 0.0000
0.0000 0.0000 0.0000
4.2623 4.2623 2.1339
1.5208 1.5208 2.1339
2.7414 5.7831 0.0000
5.7831 2.7414 0.0000
7.0037 7.0037 2.1339
```

# 2
The following is a theoretical powder XRD pattern of Mg2Zn5Ir2. It was derived from a structure optimized by DFT (GGA-PBE), using Cu Kα (weighted mean of Kα1 and Kα2).

Largest 12 diffraction maxima, low angle first, 10° ≤ 2θ ≤ 80°:
2θ = 10.37°, intensity 100; 2θ = 13.88°, intensity 29; 2θ = 17.04°, intensity 14; 2θ = 24.66°, intensity 16; 2θ = 37.15°, intensity 16; 2θ = 37.28°, intensity 16; 2θ = 37.68°, intensity 14; 2θ = 42.22°, intensity 14; 2θ = 42.37°, intensity 15; 2θ = 43.48°, intensity 24; 2θ = 43.64°, intensity 17; 2θ = 44.28°, intensity 22

Structure:
```
Mg2Zn5Ir2
1.0
2.9121 0.0000 0.0000
-0.0064 6.3843 0.0000
-1.4204 -0.3197 8.5334
Mg Zn Ir
2 5 2
Cartesian
-0.0032 0.5542 2.9709
1.4884 5.5103 5.5624
0.0000 0.0000 0.0000
-0.0022 4.0098 1.1016
0.0200 2.7539 5.3080
1.4652 3.3107 3.2253
1.4875 2.0547 7.4318
0.0337 4.2307 7.4639
1.4515 1.8339 1.0694
```

# 3
The following is a theoretical powder XRD pattern of Mg3Zn6Ir2. It was derived from a structure optimized by DFT (GGA-PBE), using Cu Kα (weighted mean of Kα1 and Kα2).

Largest 12 diffraction maxima, low angle first, 10° ≤ 2θ ≤ 80°:
2θ = 10.82°, intensity 24; 2θ = 20.51°, intensity 100; 2θ = 21.74°, intensity 25; 2θ = 32.86°, intensity 52; 2θ = 36.13°, intensity 17; 2θ = 38.17°, intensity 18; 2θ = 38.42°, intensity 19; 2θ = 39.69°, intensity 20; 2θ = 39.92°, intensity 18; 2θ = 40.42°, intensity 28; 2θ = 41.72°, intensity 53; 2θ = 74.40°, intensity 17

Structure:
```
Mg3Zn6Ir2
1.0
4.9514 0.0000 0.0000
-2.4713 4.4783 0.0000
-0.0619 -0.6963 8.1759
Mg Zn Ir
3 6 2
Cartesian
0.0000 0.0000 0.0000
0.0030 -0.0086 2.7568
2.4153 3.7905 5.4191
-1.2474 2.1896 1.5038
-0.0730 2.7908 4.1584
1.1762 1.5873 6.6284
1.2420 2.1946 1.5476
2.4912 0.9912 4.0175
3.6656 1.5923 6.6721
-0.0511 3.8469 6.7206
2.4693 -0.0650 1.4553
```

# 4
The following is a theoretical powder XRD pattern of Mg4Zn4Ir. It was derived from a structure optimized by DFT (GGA-PBE), using Cu Kα (weighted mean of Kα1 and Kα2).

Largest 12 diffraction maxima, low angle first, 10° ≤ 2θ ≤ 80°:
2θ = 16.33°, intensity 84; 2θ = 20.80°, intensity 22; 2θ = 21.18°, intensity 32; 2θ = 25.35°, intensity 35; 2θ = 26.74°, intensity 16; 2θ = 26.99°, intensity 16; 2θ = 33.98°, intensity 15; 2θ = 36.67°, intensity 14; 2θ = 39.86°, intensity 100; 2θ = 40.22°, intensity 28; 2θ = 42.34°, intensity 25; 2θ = 43.13°, intensity 36

Structure:
```
Mg4Zn4Ir
1.0
3.6107 -4.2696 0.0000
3.6107 4.2696 0.0000
-1.2580 0.0000 5.3367
Mg Zn Ir
4 4 1
Cartesian
0.0000 0.0000 0.0000
3.2054 2.5522 2.6547
4.4214 0.0000 1.1233
3.2054 -2.5522 2.6547
1.9324 2.0360 0.1915
1.3198 0.0000 4.2174
1.9324 -2.0360 0.1915
3.8755 0.0000 3.7447
1.9410 0.0000 1.8027
```

# 5
The following is a theoretical powder XRD pattern of MgZr3Ir4. It was derived from a structure optimized by DFT (GGA-PBE), using Cu Kα (weighted mean of Kα1 and Kα2).

Largest 12 diffraction maxima, low angle first, 10° ≤ 2θ ≤ 80°:
2θ = 11.69°, intensity 2; 2θ = 22.46°, intensity 1; 2θ = 23.48°, intensity 1; 2θ = 27.18°, intensity 23; 2θ = 35.56°, intensity 1; 2θ = 38.81°, intensity 100; 2θ = 48.02°, intensity 7; 2θ = 53.64°, intensity 2; 2θ = 56.05°, intensity 17; 2θ = 63.38°, intensity 9; 2θ = 70.26°, intensity 34; 2θ = 74.87°, intensity 1

Structure:
```
MgZr3Ir4
1.0
2.3211 1.3401 7.5727
-2.3211 1.3401 7.5727
0.0000 -2.6802 7.5727
Mg Zr Ir
1 3 4
Cartesian
0.0000 0.0000 0.0000
0.0000 0.0000 5.7946
0.0000 0.0000 11.3591
0.0000 0.0000 16.9237
0.0000 0.0000 2.9254
0.0000 0.0000 8.6035
0.0000 0.0000 14.1148
0.0000 0.0000 19.7929
```

# 6
The following is a theoretical powder XRD pattern of Mg3ZrIr4. It was derived from a structure optimized by DFT (GGA-PBE), using Cu Kα (weighted mean of Kα1 and Kα2).

Largest 10 diffraction maxima, low angle first, 10° ≤ 2θ ≤ 80°:
2θ = 19.81°, intensity 3; 2θ = 28.16°, intensity 51; 2θ = 34.67°, intensity 2; 2θ = 40.25°, intensity 100; 2θ = 45.25°, intensity 1; 2θ = 49.85°, intensity 15; 2θ = 54.15°, intensity 1; 2θ = 58.23°, intensity 17; 2θ = 65.92°, intensity 20; 2θ = 73.16°, intensity 35

Structure:
```
Mg3ZrIr4
1.0
6.3374 0.0000 0.0000
0.0000 6.3374 0.0000
0.0000 0.0000 6.3374
Mg Zr Ir
6 2 8
Cartesian
0.0000 0.0000 3.1687
0.0000 3.1687 0.0000
0.0000 3.1687 3.1687
3.1687 0.0000 0.0000
3.1687 0.0000 3.1687
3.1687 3.1687 0.0000
0.0000 0.0000 0.0000
3.1687 3.1687 3.1687
1.5843 1.5843 1.5843
1.5843 1.5843 4.7530
1.5843 4.7530 1.5843
1.5843 4.7530 4.7530
4.7530 1.5843 1.5843
4.7530 1.5843 4.7530
4.7530 4.7530 1.5843
4.7530 4.7530 4.7530
```

# 7
The following is a theoretical powder XRD pattern of MgZr3Ir3. It was derived from a structure optimized by DFT (GGA-PBE), using Cu Kα (weighted mean of Kα1 and Kα2).

Largest 12 diffraction maxima, low angle first, 10° ≤ 2θ ≤ 80°:
2θ = 27.00°, intensity 78; 2θ = 35.08°, intensity 100; 2θ = 36.85°, intensity 38; 2θ = 40.19°, intensity 28; 2θ = 41.78°, intensity 56; 2θ = 46.27°, intensity 24; 2θ = 50.45°, intensity 25; 2θ = 58.14°, intensity 16; 2θ = 68.63°, intensity 15; 2θ = 71.95°, intensity 17; 2θ = 75.20°, intensity 21; 2θ = 79.47°, intensity 14

Structure:
```
MgZr3Ir3
1.0
8.0900 0.0000 0.0000
0.0000 8.0900 0.0000
0.0000 0.0000 8.0900
Mg Zr Ir
4 12 12
Cartesian
0.6411 3.4039 4.6861
3.4039 4.6861 0.6411
4.6861 0.6411 3.4039
7.4489 7.4489 7.4489
0.3334 4.3783 7.7566
1.1314 1.1314 1.1314
1.7505 6.3395 2.2945
2.2945 1.7505 6.3395
2.9136 6.9585 5.1764
3.7116 3.7116 3.7116
4.3783 7.7566 0.3334
5.1764 2.9136 6.9585
5.7954 5.7954 5.7954
6.3395 2.2945 1.7505
6.9585 5.1764 2.9136
7.7566 0.3334 4.3783
0.3498 5.9668 5.2254
1.1804 3.6952 2.1231
1.9218 6.9096 7.7402
2.1231 1.1804 3.6952
2.8646 4.3947 6.1681
3.6952 2.1231 1.1804
4.3947 6.1681 2.8646
5.2254 0.3498 5.9668
5.9668 5.2254 0.3498
6.1681 2.8646 4.3947
6.9096 7.7402 1.9218
7.7402 1.9218 6.9096
```

# 8
The following is a theoretical powder XRD pattern of Mg2ZrIr. It was derived from a structure optimized by DFT (GGA-PBE), using Cu Kα (weighted mean of Kα1 and Kα2).

Largest 12 diffraction maxima, low angle first, 10° ≤ 2θ ≤ 80°:
2θ = 17.50°, intensity 71; 2θ = 20.87°, intensity 18; 2θ = 33.85°, intensity 27; 2θ = 35.42°, intensity 23; 2θ = 38.36°, intensity 100; 2θ = 42.47°, intensity 15; 2θ = 48.95°, intensity 6; 2θ = 49.81°, intensity 21; 2θ = 53.22°, intensity 14; 2θ = 65.55°, intensity 14; 2θ = 69.38°, intensity 20; 2θ = 71.23°, intensity 7

Structure:
```
Mg2ZrIr
1.0
3.2079 0.0000 0.0000
0.0000 4.6901 0.0000
0.0000 0.0000 10.1357
Mg Zr Ir
4 2 2
Cartesian
0.0000 0.0000 2.2171
0.0000 0.0000 7.9186
1.6039 2.3451 2.8507
1.6039 2.3451 7.2849
0.0000 2.3451 0.0000
1.6039 0.0000 5.0678
0.0000 2.3451 5.0678
1.6039 0.0000 0.0000
```

# 9
The following is a theoretical powder XRD pattern of MnIr. It was derived from a structure optimized by DFT (GGA-PBE), using Cu Kα (weighted mean of Kα1 and Kα2).

Largest 11 diffraction maxima, low angle first, 10° ≤ 2θ ≤ 80°:
2θ = 26.57°, intensity 47; 2θ = 41.51°, intensity 100; 2θ = 42.70°, intensity 14; 2θ = 47.07°, intensity 17; 2θ = 48.92°, intensity 31; 2θ = 56.53°, intensity 13; 2θ = 65.42°, intensity 4; 2θ = 66.92°, intensity 8; 2θ = 70.23°, intensity 21; 2θ = 71.68°, intensity 10; 2θ = 77.96°, intensity 3

Structure:
```
MnIr
1.0
3.7239 0.0000 0.0000
0.0000 3.7239 0.0000
0.0000 0.0000 7.7226
Mn Ir
4 4
Cartesian
0.0000 0.9310 2.8960
0.0000 2.7930 4.8266
1.8620 0.9310 0.9653
1.8620 2.7930 6.7573
0.0000 0.9310 6.7573
0.0000 2.7930 0.9653
1.8620 0.9310 4.8266
1.8620 2.7930 2.8960
```

# 10
The following is a theoretical powder XRD pattern of MnIr5. It was derived from a structure optimized by DFT (GGA-PBE), using Cu Kα (weighted mean of Kα1 and Kα2).

Largest 12 diffraction maxima, low angle first, 10° ≤ 2θ ≤ 80°:
2θ = 13.32°, intensity 8; 2θ = 18.90°, intensity 5; 2θ = 23.10°, intensity 4; 2θ = 26.83°, intensity 5; 2θ = 40.51°, intensity 100; 2θ = 40.69°, intensity 98; 2θ = 47.05°, intensity 65; 2θ = 47.60°, intensity 31; 2θ = 68.48°, intensity 11; 2θ = 68.98°, intensity 11; 2θ = 69.10°, intensity 21; 2θ = 69.22°, intensity 20

Structure:
```
MnIr5
1.0
4.6965 0.0000 0.0000
0.0000 2.7402 0.0000
-0.0527 0.0000 6.6452
Mn Ir
1 5
Cartesian
0.0000 0.0000 0.0000
0.7530 1.3701 2.1699
1.5241 0.0000 4.4569
2.3483 1.3701 0.0000
3.1197 0.0000 2.1883
3.8909 1.3701 4.4753
```

# 11
The following is a theoretical powder XRD pattern of Mn3Ir2. It was derived from a structure optimized by DFT (GGA-PBE), using Cu Kα (weighted mean of Kα1 and Kα2).

Largest 12 diffraction maxima, low angle first, 10° ≤ 2θ ≤ 80°:
2θ = 24.61°, intensity 45; 2θ = 30.00°, intensity 28; 2θ = 36.95°, intensity 15; 2θ = 40.91°, intensity 19; 2θ = 41.29°, intensity 100; 2θ = 42.12°, intensity 23; 2θ = 43.75°, intensity 72; 2θ = 51.16°, intensity 29; 2θ = 60.45°, intensity 11; 2θ = 71.33°, intensity 13; 2θ = 77.23°, intensity 11; 2θ = 78.69°, intensity 15

Structure:
```
Mn3Ir2
1.0
0.0000 6.4388 2.3478
4.3738 0.0000 2.3478
4.3738 6.4388 0.0000
Mn Ir
6 4
Cartesian
0.0000 0.0000 0.0000
2.1869 3.2194 1.1739
3.9924 5.0684 2.1165
4.7552 7.8092 2.1165
6.9421 8.2878 3.2904
6.1793 11.0286 3.2904
4.6486 2.5728 1.9954
6.2859 5.7922 3.1693
4.0990 10.3048 1.9954
2.4617 7.0854 3.1693
```

# 12
The following is a theoretical powder XRD pattern of Mn5Ir3. It was derived from a structure optimized by DFT (GGA-PBE), using Cu Kα (weighted mean of Kα1 and Kα2).

Largest 12 diffraction maxima, low angle first, 10° ≤ 2θ ≤ 80°:
2θ = 20.49°, intensity 27; 2θ = 27.78°, intensity 9; 2θ = 29.74°, intensity 15; 2θ = 31.13°, intensity 16; 2θ = 31.77°, intensity 9; 2θ = 39.59°, intensity 43; 2θ = 43.32°, intensity 38; 2θ = 45.34°, intensity 100; 2θ = 45.43°, intensity 48; 2θ = 60.07°, intensity 13; 2θ = 60.22°, intensity 8; 2θ = 71.82°, intensity 24

Structure:
```
Mn5Ir3
1.0
4.9281 -4.5538 0.0000
4.9281 4.5538 0.0000
-2.1386 0.0000 4.4559
Mn Ir
10 6
Cartesian
3.3241 4.1998 3.3419
2.6240 1.9153 2.2129
0.8386 0.3772 3.3175
1.9079 -0.3772 1.0895
6.1629 1.9153 0.0150
1.5547 -1.9153 4.4409
5.8097 0.3772 3.3664
6.8790 -0.3772 1.1384
5.0936 -1.9153 2.2430
4.3934 -4.1998 1.1140
1.5827 2.7100 4.4059
5.0656 2.7100 2.2780
4.3934 0.3661 1.1140
3.3241 -0.3661 3.3419
2.6520 -2.7100 2.1780
6.1349 -2.7100 0.0500
```

# 13
The following is a theoretical powder XRD pattern of Mn5Ir3. It was derived from a structure optimized by DFT (GGA-PBE), using Cu Kα (weighted mean of Kα1 and Kα2).

Largest 12 diffraction maxima, low angle first, 10° ≤ 2θ ≤ 80°:
2θ = 16.95°, intensity 9; 2θ = 23.90°, intensity 5; 2θ = 24.21°, intensity 23; 2θ = 29.43°, intensity 8; 2θ = 34.05°, intensity 20; 2θ = 42.21°, intensity 100; 2θ = 48.92°, intensity 32; 2θ = 49.58°, intensity 16; 2θ = 55.30°, intensity 11; 2θ = 61.52°, intensity 8; 2θ = 71.68°, intensity 10; 2θ = 72.21°, intensity 20

Structure:
```
Mn5Ir3
1.0
7.3538 0.0000 0.0000
0.0000 7.4442 0.0000
0.0000 0.0000 3.7256
Mn Ir
10 6
Cartesian
0.0000 0.0000 0.0000
1.8403 0.0000 1.8628
1.8385 1.8610 0.0000
1.8366 3.7221 1.8628
1.8385 5.5831 0.0000
3.6769 3.7221 0.0000
5.5135 0.0000 1.8628
5.5154 1.8610 0.0000
5.5173 3.7221 1.8628
5.5154 5.5831 0.0000
0.0000 1.8107 1.8628
0.0000 3.7221 0.0000
0.0000 5.6335 1.8628
3.6769 0.0000 0.0000
3.6769 1.9114 1.8628
3.6769 5.5328 1.8628
```